Record 1
Simulated powder diffraction line list
Compound: La4Pb3I
Radiation: Cu Ka
Structure: a crystal structure in Alexandria, relaxed with PBE
Kinematic intensities with the Lorentz-polarization factor, no thermal factor.

Structure:
```
data_La4Pb3I
_symmetry_space_group_name_H-M 'I 4/m m m'
_symmetry_Int_Tables_number 139
_symmetry_space_group_name_Hall '-I 4 2'
_cell_length_a 6.594
_cell_length_b 6.594
_cell_length_c 13.233
_cell_angle_alpha 90.00
_cell_angle_beta 90.00
_cell_angle_gamma 90.00
loop_
_atom_site_label
_atom_site_type_symbol
_atom_site_fract_x
_atom_site_fract_y
_atom_site_fract_z
_atom_site_occupancy
La1 La 0.000 0.000 0.246 1
La2 La 0.000 0.500 0.000 1
Pb1 Pb 0.000 0.000 0.000 1
Pb2 Pb 0.000 0.500 0.250 1
I1 I 0.000 0.000 0.500 1
```

The 12 most intense peaks (15 to 90 degrees two-theta), in order of falling intensity:
- (2 0 0), 2θ 27.01, rel. 100
- (2 2 0), 2θ 38.57, rel. 79
- (2 2 4), 2θ 47.72, rel. 29
- (4 2 0), 2θ 63.02, rel. 25
- (4 2 4), 2θ 69.84, rel. 19
- (2 0 8), 2θ 62.86, rel. 13
- (4 2 8), 2θ 88.92, rel. 10
- (2 2 8), 2θ 69.70, rel. 9
- (4 0 0), 2θ 55.76, rel. 9
- (6 0 0), 2θ 89.06, rel. 8
- (4 0 8), 2θ 82.63, rel. 6
- (0 0 8), 2θ 55.56, rel. 5

Record 2
Simulated powder diffraction line list
Compound: Pm2TmAl6
Radiation: Cu Ka
Structure: a crystal structure in Alexandria, relaxed with PBE
Kinematic intensities with the Lorentz-polarization factor, no thermal factor.

Structure:
```
data_Pm2TmAl6
_symmetry_space_group_name_H-M 'P 6/m m m'
_symmetry_Int_Tables_number 191
_symmetry_space_group_name_Hall '-P 6 2'
_cell_length_a 7.9525
_cell_length_b 7.9525
_cell_length_c 3.5610
_cell_angle_alpha 90.00
_cell_angle_beta 90.00
_cell_angle_gamma 120.00
loop_
_atom_site_label
_atom_site_type_symbol
_atom_site_fract_x
_atom_site_fract_y
_atom_site_fract_z
_atom_site_occupancy
Pm1 Pm 0.3333 0.6667 0.0000 1
Tm1 Tm 0.0000 0.0000 0.0000 1
Al1 Al 0.0000 0.3308 0.5000 1
```

The 12 most intense peaks (15 to 90 degrees two-theta), in order of falling intensity:
- (1 1 1), 2θ 33.79, rel. 100
- (1 1 0), 2θ 22.36, rel. 69
- (3 0 0), 2θ 39.24, rel. 44
- (2 2 1), 2θ 52.73, rel. 28
- (4 1 1), 2θ 67.67, rel. 27
- (3 0 2), 2θ 66.45, rel. 18
- (3 3 0), 2θ 71.11, rel. 13
- (3 0 1), 2θ 47.10, rel. 12
- (6 0 0), 2θ 84.35, rel. 12
- (1 1 2), 2θ 56.64, rel. 11
- (2 2 0), 2θ 45.63, rel. 11
- (0 0 1), 2θ 25.01, rel. 11

Copy entry 2 word for word.
Simulated powder diffraction line list
Compound: Pm2TmAl6
Radiation: Cu Ka
Structure: a crystal structure in Alexandria, relaxed with PBE
Kinematic intensities with the Lorentz-polarization factor, no thermal factor.

Structure:
```
data_Pm2TmAl6
_symmetry_space_group_name_H-M 'P 6/m m m'
_symmetry_Int_Tables_number 191
_symmetry_space_group_name_Hall '-P 6 2'
_cell_length_a 7.9525
_cell_length_b 7.9525
_cell_length_c 3.5610
_cell_angle_alpha 90.00
_cell_angle_beta 90.00
_cell_angle_gamma 120.00
loop_
_atom_site_label
_atom_site_type_symbol
_atom_site_fract_x
_atom_site_fract_y
_atom_site_fract_z
_atom_site_occupancy
Pm1 Pm 0.3333 0.6667 0.0000 1
Tm1 Tm 0.0000 0.0000 0.0000 1
Al1 Al 0.0000 0.3308 0.5000 1
```

The 12 most intense peaks (15 to 90 degrees two-theta), in order of falling intensity:
- (1 1 1), 2θ 33.79, rel. 100
- (1 1 0), 2θ 22.36, rel. 69
- (3 0 0), 2θ 39.24, rel. 44
- (2 2 1), 2θ 52.73, rel. 28
- (4 1 1), 2θ 67.67, rel. 27
- (3 0 2), 2θ 66.45, rel. 18
- (3 3 0), 2θ 71.11, rel. 13
- (3 0 1), 2θ 47.10, rel. 12
- (6 0 0), 2θ 84.35, rel. 12
- (1 1 2), 2θ 56.64, rel. 11
- (2 2 0), 2θ 45.63, rel. 11
- (0 0 1), 2θ 25.01, rel. 11